Theoretical powder diffractogram of UCr5P3 for Cu Ka, from a crystal structure in Alexandria, relaxed with GGA-PBE.
Lines closer than 0.1° are merged.

Cell and atoms:
Lattice parameters (Å, degrees): 6.7664 3.7314 9.4887 90.00 98.34 90.00
Fractional positions:
U 0.1804 0.2500 0.2831
U 0.8196 0.7500 0.7170
Cr 0.0847 0.2500 0.6011
Cr 0.1599 0.7500 0.0086
Cr 0.3215 0.7500 0.7785
Cr 0.3946 0.2500 0.0127
Cr 0.4586 0.2500 0.5712
Cr 0.5414 0.7500 0.4288
Cr 0.6054 0.7500 0.9873
Cr 0.6785 0.2500 0.2215
Cr 0.8401 0.2500 0.9914
Cr 0.9153 0.7500 0.3989
P 0.1007 0.2500 0.8472
P 0.2380 0.7500 0.5199
P 0.4424 0.7500 0.1865
P 0.5576 0.2500 0.8135
P 0.7620 0.2500 0.4801
P 0.8993 0.7500 0.1528

Peak list (10 most intense, 5 to 70 degrees two-theta, by angle)
| h k l | two_theta | d (Å) | I/Imax |
| --- | --- | --- | --- |
| 1 0 1 | 17.35 | 5.112 | 37 |
| 0 1 1 | 25.69 | 3.468 | 37 |
| 1 1 0 | 27.36 | 3.259 | 29 |
| 1 0 3 | 33.32 | 2.689 | 22 |
| 1 1 2 | 34.59 | 2.593 | 31 |
| 2 0 -3 | 36.33 | 2.473 | 31 |
| 0 1 3 | 37.51 | 2.398 | 50 |
| 2 1 1 | 38.38 | 2.345 | 100 |
| 2 1 -2 | 39.05 | 2.306 | 81 |
| 0 2 0 | 48.81 | 1.866 | 39 |